# 1
Diffraction record for LaPr3Nd7. The X-ray diffraction stick pattern is theoretical, not measured: it uses the GGA-PBE geometry in Alexandria and copper Kα.

Lattice parameters (Å, degrees): 12.025 10.340 6.566 90.00 95.55 90.00
Space group C2/m (No. 12)
Asymmetric unit:
La  0.000  0.000  0.000 [2 per cell]
Pr  0.000  0.327  0.500 [4 per cell]
Pr  0.000  0.500  0.000 [2 per cell]
Nd  0.000  0.000  0.500 [2 per cell]
Nd  0.237  0.500  0.711 [4 per cell]
Nd  0.248  0.174  0.761 [8 per cell]

Principal peaks in the range 2θ = 5–70°, in order of falling intensity:
(hkl), d [Å], I (rel.)
4 0 0, 2.992, 100
1 3 1, 2.923, 59
3 3 -1, 2.477, 40
2 0 2, 2.758, 39
5 3 1, 1.843, 29
4 6 0, 1.493, 22
7 3 -1, 1.521, 16
6 0 2, 1.634, 13
8 0 0, 1.496, 11
6 0 -2, 1.781, 10

---

# 2
Diffraction record for CeHo2Mg3. The X-ray diffraction stick pattern is theoretical, not measured: it uses the GGA-PBE geometry in Alexandria and copper Kα.

Lattice parameters (Å, degrees): 3.769 3.769 11.504 90.00 90.00 90.00
Space group P4/mmm (No. 123)
Asymmetric unit:
Ce  0.000  0.000  0.000 [1 per cell]
Ho  0.000  0.000  0.337 [2 per cell]
Mg  0.500  0.500  0.174 [2 per cell]
Mg  0.500  0.500  0.500 [1 per cell]

Principal peaks in the range 2θ = 5–70°, in order of falling intensity:
(hkl), d [Å], I (rel.)
1 0 3, 2.688, 100
1 0 0, 3.769, 61
1 1 0, 2.665, 49
2 1 3, 1.543, 37
0 0 3, 3.835, 32
1 1 3, 2.189, 29
1 1 6, 1.556, 19
2 0 0, 1.885, 18
1 0 6, 1.709, 13
2 0 3, 1.691, 13

---

# 3
Diffraction record for Y5Ag2Pd. The X-ray diffraction stick pattern is theoretical, not measured: it uses the GGA-PBE geometry in Alexandria and copper Kα.

Lattice parameters (Å, degrees): 6.853 12.075 5.035 90.00 90.00 90.00
Space group Pbam (No. 55)
Asymmetric unit:
Y  0.000  0.000  0.000 [2 per cell]
Y  0.151  0.287  0.000 [4 per cell]
Y  0.172  0.597  0.500 [4 per cell]
Ag  0.095  0.851  0.500 [4 per cell]
Pd  0.000  0.500  0.000 [2 per cell]

Principal peaks in the range 2θ = 5–70°, in order of falling intensity:
(hkl), d [Å], I (rel.)
2 1 1, 2.759, 100
0 4 1, 2.589, 75
0 0 2, 2.518, 54
2 2 1, 2.565, 35
2 3 0, 2.609, 23
1 3 1, 2.858, 21
2 3 2, 1.812, 15
0 4 3, 1.467, 12
1 4 2, 1.861, 12
2 1 3, 1.496, 12

---

# 4
Diffraction record for Cd6AgAu2. The X-ray diffraction stick pattern is theoretical, not measured: it uses the GGA-PBE geometry in Alexandria and copper Kα.

Lattice parameters (Å, degrees): 13.379 3.036 10.727 90.00 118.26 90.00
Space group C2/m (No. 12)
Asymmetric unit:
Cd  0.033  0.000  0.215 [4 per cell]
Cd  0.154  0.500  0.045 [4 per cell]
Cd  0.248  0.000  0.617 [4 per cell]
Ag  0.000  0.000  0.500 [2 per cell]
Au  0.142  0.500  0.757 [4 per cell]

Principal peaks in the range 2θ = 5–70°, in order of falling intensity:
(hkl), d [Å], I (rel.)
1 1 -3, 2.288, 100
3 1 0, 2.402, 92
4 0 -4, 2.510, 90
2 0 3, 2.353, 46
4 0 1, 2.496, 35
2 0 -1, 6.595, 32
4 0 -3, 2.962, 31
6 0 -3, 2.198, 28
6 0 -1, 2.135, 25
2 0 -4, 2.673, 25

---

# 5
Diffraction record for Sr2TlCo. The X-ray diffraction stick pattern is theoretical, not measured: it uses the GGA-PBE geometry in Alexandria and copper Kα.

Lattice parameters (Å, degrees): 4.592 4.671 11.877 90.00 90.00 90.00
Space group Amm2 (No. 38)
Asymmetric unit:
Sr  0.000  0.000  0.000 [2 per cell]
Sr  0.500  0.000  0.288 [2 per cell]
Tl  0.000  0.000  0.702 [2 per cell]
Co  0.500  0.000  0.592 [2 per cell]

Principal peaks in the range 2θ = 5–70°, in order of falling intensity:
(hkl), d [Å], I (rel.)
1 1 1, 3.157, 100
1 1 3, 2.523, 75
0 1 3, 3.020, 63
0 0 2, 5.938, 54
1 0 4, 2.493, 44
0 1 1, 4.347, 33
0 2 0, 2.336, 31
2 1 3, 1.828, 30
2 0 0, 2.296, 29
1 2 4, 1.705, 28

---

# 6
Diffraction record for SmTh2Rh2. The X-ray diffraction stick pattern is theoretical, not measured: it uses the GGA-PBE geometry in Alexandria and copper Kα.

Lattice parameters (Å, degrees): 7.938 7.938 3.884 90.00 90.00 90.00
Space group P4/mbm (No. 127)
Asymmetric unit:
Sm  0.000  0.000  0.000 [2 per cell]
Th  0.167  0.333  0.500 [4 per cell]
Rh  0.133  0.633  0.000 [4 per cell]

Principal peaks in the range 2θ = 5–70°, in order of falling intensity:
(hkl), d [Å], I (rel.)
2 1 1, 2.620, 100
3 1 0, 2.510, 44
2 0 1, 2.776, 30
3 1 2, 1.536, 20
4 1 1, 1.725, 16
5 2 1, 1.378, 15
0 0 2, 1.942, 14
2 1 0, 3.550, 14
3 3 1, 1.686, 12
1 1 1, 3.194, 10

---

# 7
Diffraction record for Zr2Al2Os. The X-ray diffraction stick pattern is theoretical, not measured: it uses the GGA-PBE geometry in Alexandria and copper Kα.

Lattice parameters (Å, degrees): 6.806 6.806 3.872 90.00 90.00 90.00
Space group P4/mbm (No. 127)
Asymmetric unit:
Zr  0.171  0.329  0.000 [4 per cell]
Al  0.133  0.633  0.500 [4 per cell]
Os  0.000  0.000  0.500 [2 per cell]

Principal peaks in the range 2θ = 5–70°, in order of falling intensity:
(hkl), d [Å], I (rel.)
2 0 1, 2.556, 100
1 1 1, 3.017, 81
3 1 0, 2.152, 70
2 1 1, 2.393, 65
1 1 0, 4.813, 42
3 1 2, 1.439, 39
2 2 0, 2.406, 31
3 3 1, 1.482, 26
0 0 2, 1.936, 25
2 1 0, 3.044, 19

---

# 8
Diffraction record for TiGe4Mo. The X-ray diffraction stick pattern is theoretical, not measured: it uses the GGA-PBE geometry in Alexandria and copper Kα.

Lattice parameters (Å, degrees): 4.755 8.425 4.718 90.00 90.00 90.00
Space group Cmmm (No. 65)
Asymmetric unit:
Ti  0.000  0.000  0.000 [2 per cell]
Ge  0.000  0.161  0.500 [4 per cell]
Ge  0.000  0.336  0.000 [4 per cell]
Mo  0.000  0.500  0.500 [2 per cell]

Principal peaks in the range 2θ = 5–70°, in order of falling intensity:
(hkl), d [Å], I (rel.)
1 3 1, 2.152, 100
2 0 0, 2.378, 34
0 0 2, 2.359, 33
2 0 2, 1.675, 22
0 6 0, 1.404, 6
1 1 0, 4.141, 3
0 0 1, 4.718, 2
0 2 1, 3.142, 2
2 2 1, 1.896, 1
1 1 2, 2.050, 1

---

# 9
Diffraction record for IrPt6Rh. The X-ray diffraction stick pattern is theoretical, not measured: it uses the GGA-PBE geometry in Alexandria and copper Kα.

Lattice parameters (Å, degrees): 8.811 3.947 7.890 90.00 116.70 90.00
Space group C2/m (No. 12)
Asymmetric unit:
Ir  0.000  0.000  0.000 [2 per cell]
Pt  0.001  0.500  0.250 [4 per cell]
Pt  0.249  0.000  0.875 [4 per cell]
Pt  0.250  0.000  0.375 [4 per cell]
Rh  0.000  0.000  0.500 [2 per cell]

Principal peaks in the range 2θ = 5–70°, in order of falling intensity:
(hkl), d [Å], I (rel.)
1 1 2, 2.276, 100
0 2 0, 1.973, 33
4 2 0, 1.394, 27
4 0 0, 1.968, 16
2 0 4, 1.392, 5
0 0 1, 7.049, 1
2 0 -2, 3.528, 1